[1]
Structure and calculated X-ray diffraction stick pattern of Er14ScTl (DFT lattice parameters and positions (GGA-PBE); CuKα).
Kinematic intensities with the Lorentz-polarization factor, no thermal factor.

Largest 6 diffraction maxima, by intensity, 2θ = 10–90°:
31.57°, I 100, (2 2 2)
36.67°, I 34, (0 4 0)
62.86°, I 28, (2 6 2)
52.70°, I 24, (4 4 0)
36.49°, I 17, (4 0 0)
62.62°, I 14, (6 2 2)

```
data_Er14ScTl
_chemical_formula_sum 'Er28 Sc2 Tl2'
_cell_length_a 9.8490
_cell_length_b 9.8025
_cell_length_c 9.8008
_cell_angle_alpha 90.00
_cell_angle_beta 90.00
_cell_angle_gamma 90.00
_symmetry_space_group_name_H-M 'A m m 2'
_symmetry_Int_Tables_number 38
loop_
_symmetry_equiv_pos_as_xyz
'x,y,z'
'-x,-y,z'
'-x,y,z'
'x,-y,z'
'x,y+1/2,z+1/2'
'-x,-y+1/2,z+1/2'
'-x,y+1/2,z+1/2'
'x,-y+1/2,z+1/2'
loop_
_atom_site_label
_atom_site_type_symbol
_atom_site_fract_x
_atom_site_fract_y
_atom_site_fract_z
_atom_site_occupancy
Er1 Er 0.0000 0.0000 0.0000 1
Er2 Er 0.0000 0.0000 0.5002 1
Er3 Er 0.0000 0.2502 0.2501 1
Er4 Er 0.2533 0.0000 0.2482 1
Er5 Er 0.2540 0.0000 0.7520 1
Er6 Er 0.2535 0.2482 0.0002 1
Er7 Er 0.5000 0.2495 0.2504 1
Sc1 Sc 0.5000 0.0000 0.0002 1
Tl1 Tl 0.5000 0.0000 0.5004 1
```

[2]
Structure and calculated X-ray diffraction stick pattern of ErSc2Tl2 (DFT lattice parameters and positions (GGA-PBE); CuKα).
Kinematic intensities with the Lorentz-polarization factor, no thermal factor.

Largest 6 diffraction maxima, by intensity, 2θ = 10–90°:
34.48°, I 100, (1 1 2)
33.80°, I 26, (0 0 5)
34.74°, I 25, (0 2 0)
62.11°, I 18, (1 3 2)
60.91°, I 18, (1 1 7)
49.25°, I 18, (0 2 5)

```
data_ErSc2Tl2
_chemical_formula_sum 'Er2 Sc4 Tl4'
_cell_length_a 3.6567
_cell_length_b 5.1645
_cell_length_c 13.3846
_cell_angle_alpha 90.00
_cell_angle_beta 97.85
_cell_angle_gamma 90.00
_symmetry_space_group_name_H-M 'P 1 21/m 1'
_symmetry_Int_Tables_number 11
loop_
_symmetry_equiv_pos_as_xyz
'x,y,z'
'-x,-y,-z'
'-x,y+1/2,-z'
'x,-y+1/2,z'
loop_
_atom_site_label
_atom_site_type_symbol
_atom_site_fract_x
_atom_site_fract_y
_atom_site_fract_z
_atom_site_occupancy
Er1 Er 0.1488 0.2500 0.2985 1
Sc1 Sc 0.0509 0.7500 0.1024 1
Sc2 Sc 0.2414 0.7500 0.4831 1
Tl1 Tl 0.3505 0.2500 0.7007 1
Tl2 Tl 0.4539 0.7500 0.9084 1
```

[3]
Structure and calculated X-ray diffraction stick pattern of Er6ScTl3 (DFT lattice parameters and positions (GGA-PBE); CuKα).
Kinematic intensities with the Lorentz-polarization factor, no thermal factor.

Largest 6 diffraction maxima, by intensity, 2θ = 10–90°:
33.14°, I 100, (1 1 3)
32.18°, I 77, (3 1 -1)
34.88°, I 46, (0 2 0)
33.32°, I 35, (2 0 -4)
49.01°, I 24, (2 2 -4)
61.44°, I 17, (1 3 3)

```
data_Er6ScTl3
_chemical_formula_sum 'Er12 Sc2 Tl6'
_cell_length_a 9.9311
_cell_length_b 5.1449
_cell_length_c 11.3469
_cell_angle_alpha 90.00
_cell_angle_beta 104.20
_cell_angle_gamma 90.00
_symmetry_space_group_name_H-M 'P 1 21/m 1'
_symmetry_Int_Tables_number 11
loop_
_symmetry_equiv_pos_as_xyz
'x,y,z'
'-x,-y,-z'
'-x,y+1/2,-z'
'x,-y+1/2,z'
loop_
_atom_site_label
_atom_site_type_symbol
_atom_site_fract_x
_atom_site_fract_y
_atom_site_fract_z
_atom_site_occupancy
Er1 Er 0.0610 0.2500 0.4072 1
Er2 Er 0.1589 0.7500 0.1835 1
Er3 Er 0.2453 0.2500 0.9953 1
Er4 Er 0.3186 0.7500 0.7975 1
Er5 Er 0.3839 0.2500 0.3025 1
Er6 Er 0.3890 0.2500 0.6120 1
Sc1 Sc 0.4603 0.7500 0.0977 1
Tl1 Tl 0.0328 0.7500 0.8922 1
Tl2 Tl 0.1162 0.2500 0.7025 1
Tl3 Tl 0.2885 0.7500 0.4661 1
```

Please write out number 3 again, unchanged.
Structure and calculated X-ray diffraction stick pattern of Er6ScTl3 (DFT lattice parameters and positions (GGA-PBE); CuKα).
Kinematic intensities with the Lorentz-polarization factor, no thermal factor.

Largest 6 diffraction maxima, by intensity, 2θ = 10–90°:
33.14°, I 100, (1 1 3)
32.18°, I 77, (3 1 -1)
34.88°, I 46, (0 2 0)
33.32°, I 35, (2 0 -4)
49.01°, I 24, (2 2 -4)
61.44°, I 17, (1 3 3)

```
data_Er6ScTl3
_chemical_formula_sum 'Er12 Sc2 Tl6'
_cell_length_a 9.9311
_cell_length_b 5.1449
_cell_length_c 11.3469
_cell_angle_alpha 90.00
_cell_angle_beta 104.20
_cell_angle_gamma 90.00
_symmetry_space_group_name_H-M 'P 1 21/m 1'
_symmetry_Int_Tables_number 11
loop_
_symmetry_equiv_pos_as_xyz
'x,y,z'
'-x,-y,-z'
'-x,y+1/2,-z'
'x,-y+1/2,z'
loop_
_atom_site_label
_atom_site_type_symbol
_atom_site_fract_x
_atom_site_fract_y
_atom_site_fract_z
_atom_site_occupancy
Er1 Er 0.0610 0.2500 0.4072 1
Er2 Er 0.1589 0.7500 0.1835 1
Er3 Er 0.2453 0.2500 0.9953 1
Er4 Er 0.3186 0.7500 0.7975 1
Er5 Er 0.3839 0.2500 0.3025 1
Er6 Er 0.3890 0.2500 0.6120 1
Sc1 Sc 0.4603 0.7500 0.0977 1
Tl1 Tl 0.0328 0.7500 0.8922 1
Tl2 Tl 0.1162 0.2500 0.7025 1
Tl3 Tl 0.2885 0.7500 0.4661 1
```